Starting from a PBE-relaxed structure, the XRD peak list of ZrSnCl6 was calculated for λ = 1.5418 Å (Cu Kα).
Lines closer than 0.1° are merged.

Largest 10 diffraction maxima, sorted by position, 2θ = 10–90°:
2θ/deg  I/Imax
17.78  100.0
23.65  11.7
24.50  24.0
30.30  10.6
35.94  11.8
38.33  14.7
39.39  14.6
39.51  15.0
45.46  12.1
46.69  14.5

Unit cell a=11.9774 b=6.6852 c=18.8335 alpha=90.00 beta=91.95 gamma=90.00
Space group Pc (No. 7)
Asymmetric unit:
Zr (0.0000, 0.0070, 0.0000) x2
Zr (0.3256, 0.0099, 0.6637) x2
Zr (0.8376, 0.4809, 0.6615) x2
Sn (0.1737, 0.4917, 0.8238) x2
Sn (0.4968, 0.4900, 0.4884) x2
Sn (0.6527, 0.0107, 0.8336) x2
Cl (0.0115, 0.3083, 0.9289) x2
Cl (0.1432, 0.1600, 0.4351) x2
Cl (0.1584, 0.1409, 0.0880) x2
Cl (0.1779, 0.1462, 0.7464) x2
Cl (0.3145, 0.3069, 0.5914) x2
Cl (0.3216, 0.3085, 0.2384) x2
Cl (0.3379, 0.3444, 0.9064) x2
Cl (0.4608, 0.1490, 0.0898) x2
Cl (0.4748, 0.1565, 0.7416) x2
Cl (0.4986, 0.1546, 0.4109) x2
Cl (0.6519, 0.3429, 0.9061) x2
Cl (0.6935, 0.3459, 0.2222) x2
Cl (0.7032, 0.3449, 0.5738) x2
Cl (0.8413, 0.1954, 0.7389) x2
Cl (0.8471, 0.1355, 0.4286) x2
Cl (0.8601, 0.1980, 0.0759) x2
Cl (0.9905, 0.2964, 0.5849) x2
Cl (0.9931, 0.3536, 0.2270) x2